# CsGe2Te4
Theoretical X-ray powder pattern, a wavelength of 1.5418 Å. Input: a crystal structure in Alexandria, relaxed with GGA-PBE.
Lines closer than 0.1° are merged.

Top 8 peaks for 10 to 80 degrees two-theta, in order of falling intensity:
h k l	2theta	I/Imax
1 2 -2	26.70	100.0
1 -2 1	25.62	70.5
2 0 -1	24.89	53.5
1 0 2	26.97	37.7
2 0 1	30.34	37.5
1 2 0	26.42	35.9
-1 2 1	27.57	34.0
0 0 3	30.58	32.8

Cell and atoms:
```
data_CsGe2Te4
_symmetry_space_group_name_H-M 'P 1'
_symmetry_Int_Tables_number 1
_symmetry_space_group_name_Hall 'P 1'
_cell_length_a 7.203
_cell_length_b 8.433
_cell_length_c 9.487
_cell_angle_alpha 105.59
_cell_angle_beta 105.69
_cell_angle_gamma 90.21
loop_
_atom_site_label
_atom_site_type_symbol
_atom_site_fract_x
_atom_site_fract_y
_atom_site_fract_z
Cs1 Cs 0.000 0.000 0.000
Cs2 Cs 0.331 0.862 0.536
Ge1 Ge 0.185 0.422 0.776
Ge2 Ge 0.678 0.666 0.162
Ge3 Ge 0.689 0.440 0.718
Ge4 Ge 0.925 0.391 0.368
Te1 Te 0.021 0.562 0.166
Te2 Te 0.319 0.326 0.525
Te3 Te 0.442 0.231 0.923
Te4 Te 0.463 0.708 0.904
Te5 Te 0.493 0.422 0.222
Te6 Te 0.643 0.985 0.280
Te7 Te 0.840 0.137 0.592
Te8 Te 0.842 0.645 0.582
```

=====

# Cs2Tl4Ge
Theoretical X-ray powder pattern, a wavelength of 1.5418 Å. Input: a crystal structure in Alexandria, relaxed with GGA-PBE.
Lines closer than 0.1° are merged.

Top 8 peaks for 10 to 80 degrees two-theta, in order of falling intensity:
h k l	2theta	I/Imax
1 1 4	28.22	100.0
2 0 0	31.07	65.3
1 1 2	23.58	49.8
2 0 6	41.36	39.9
3 1 4	53.54	34.5
0 0 6	26.62	32.2
2 2 0	44.51	24.5
2 2 6	52.61	21.8

Cell and atoms:
```
data_Cs2Tl4Ge
_symmetry_space_group_name_H-M 'I 4/m m m'
_symmetry_Int_Tables_number 139
_symmetry_space_group_name_Hall '-I 4 2'
_cell_length_a 5.757
_cell_length_b 5.757
_cell_length_c 20.095
_cell_angle_alpha 90.00
_cell_angle_beta 90.00
_cell_angle_gamma 90.00
loop_
_atom_site_label
_atom_site_type_symbol
_atom_site_fract_x
_atom_site_fract_y
_atom_site_fract_z
Cs1 Cs 0.000 0.000 0.157
Tl1 Tl 0.000 0.000 0.361
Tl2 Tl 0.000 0.500 0.000
Ge1 Ge 0.000 0.000 0.500
```

=====

# CsTlGe
Theoretical X-ray powder pattern, a wavelength of 1.5418 Å. Input: a crystal structure in Alexandria, relaxed with GGA-PBE.
Lines closer than 0.1° are merged.

Top 8 peaks for 10 to 80 degrees two-theta, in order of falling intensity:
h k l	2theta	I/Imax
3 1 0	28.80	100.0
2 0 -1	12.50	71.4
3 1 -2	31.31	67.0
1 1 -2	31.19	45.2
4 0 -1	21.86	31.1
2 0 2	33.15	28.5
6 0 -2	33.60	27.5
0 2 0	43.90	23.8

Cell and atoms:
```
data_CsTlGe
_symmetry_space_group_name_H-M 'C 1 m 1'
_symmetry_Int_Tables_number 8
_symmetry_space_group_name_Hall 'C -2y'
_cell_length_a 16.262
_cell_length_b 4.125
_cell_length_c 8.286
_cell_angle_alpha 90.00
_cell_angle_beta 119.88
_cell_angle_gamma 90.00
loop_
_atom_site_label
_atom_site_type_symbol
_atom_site_fract_x
_atom_site_fract_y
_atom_site_fract_z
Cs1 Cs 0.000 0.000 0.000
Cs2 Cs 0.169 0.500 0.655
Tl1 Tl 0.315 0.000 0.112
Tl2 Tl 0.437 0.500 0.474
Ge1 Ge 0.220 0.500 0.239
Ge2 Ge 0.295 0.000 0.467
```